# 1
# TaRuN
Theoretical powder diffractogram, a wavelength of 1.5418 Å. Input: the PBE geometry in Alexandria.
Peak positions follow from Bragg's law for the DFT cell and can differ from measured ones.

Top 10 peaks for 10 to 90 degrees two-theta, sorted by position:
2θ = 30.97°, intensity 36.6
2θ = 32.14°, intensity 28.8
2θ = 33.37°, intensity 45.0
2θ = 34.74°, intensity 34.2
2θ = 35.87°, intensity 55.1
2θ = 37.36°, intensity 31.6
2θ = 38.69°, intensity 45.7
2θ = 39.58°, intensity 98.7
2θ = 40.27°, intensity 100.0
2θ = 57.55°, intensity 31.2

Structural model:
```
TaRuN
1.0
5.374 -1.443 0.000
5.374 1.443 0.000
-2.889 0.000 5.007
Ta Ru N
2 2 2
direct
0.000 0.000 0.000
0.206 0.206 0.599
0.427 0.427 0.440
0.721 0.721 0.008
0.572 0.572 0.307
0.856 0.856 0.605
```


# 2
# Ta4RuN
Theoretical powder diffractogram, a wavelength of 1.5418 Å. Input: the PBE geometry in Alexandria.
Peak positions follow from Bragg's law for the DFT cell and can differ from measured ones.

Top 10 peaks for 10 to 90 degrees two-theta, sorted by position:
2θ = 33.49°, intensity 67.8
2θ = 35.92°, intensity 90.4
2θ = 36.36°, intensity 100.0
2θ = 36.64°, intensity 87.7
2θ = 36.96°, intensity 71.8
2θ = 41.49°, intensity 31.8
2θ = 41.67°, intensity 25.9
2θ = 45.29°, intensity 60.0
2θ = 61.23°, intensity 32.0
2θ = 68.99°, intensity 18.8

Structural model:
```
Ta4RuN
1.0
5.621 0.000 0.000
0.000 5.363 0.000
-1.566 0.000 6.361
Ta Ru N
8 2 2
direct
0.093 0.154 0.204
0.093 0.346 0.704
0.351 0.610 0.121
0.351 0.890 0.621
0.649 0.110 0.379
0.649 0.390 0.879
0.907 0.654 0.296
0.907 0.846 0.796
0.500 0.000 0.000
0.500 0.500 0.500
0.000 0.000 0.500
0.000 0.500 0.000
```


# 3
# Th2RuN
Theoretical powder diffractogram, a wavelength of 1.5418 Å. Input: the PBE geometry in Alexandria.
Peak positions follow from Bragg's law for the DFT cell and can differ from measured ones.

Top 10 peaks for 10 to 90 degrees two-theta, sorted by position:
2θ = 27.08°, intensity 89.6
2θ = 28.88°, intensity 100.0
2θ = 31.34°, intensity 97.1
2θ = 32.51°, intensity 96.2
2θ = 33.42°, intensity 78.9
2θ = 45.79°, intensity 64.0
2θ = 47.31°, intensity 55.6
2θ = 48.76°, intensity 27.7
2θ = 55.82°, intensity 40.1
2θ = 59.84°, intensity 28.6

Structural model:
```
Th2RuN
1.0
5.734 0.000 0.000
0.000 5.508 0.000
-4.707 0.000 10.726
Th Ru N
8 4 4
direct
0.073 0.246 0.105
0.073 0.754 0.605
0.342 0.278 0.858
0.342 0.722 0.358
0.658 0.278 0.642
0.658 0.722 0.142
0.927 0.246 0.395
0.927 0.754 0.895
0.404 0.227 0.359
0.404 0.773 0.859
0.596 0.227 0.141
0.596 0.773 0.641
0.052 0.308 0.620
0.052 0.692 0.120
0.948 0.308 0.880
0.948 0.692 0.380
```


# 4
# YTh2RuN4
Theoretical powder diffractogram, a wavelength of 1.5418 Å. Input: the PBE geometry in Alexandria.
Peak positions follow from Bragg's law for the DFT cell and can differ from measured ones.

Top 10 peaks for 10 to 90 degrees two-theta, sorted by position:
2θ = 16.52°, intensity 48.3
2θ = 26.91°, intensity 97.8
2θ = 29.72°, intensity 78.5
2θ = 30.83°, intensity 98.5
2θ = 35.24°, intensity 48.8
2θ = 37.54°, intensity 100.0
2θ = 40.77°, intensity 46.4
2θ = 46.96°, intensity 28.9
2θ = 51.73°, intensity 32.9
2θ = 60.41°, intensity 28.1

Structural model:
```
YTh2RuN4
1.0
1.728 -6.011 0.000
1.728 6.011 0.000
0.000 0.000 11.900
Y Th Ru N
2 4 2 8
direct
0.116 0.884 0.750
0.884 0.116 0.250
0.369 0.631 0.555
0.369 0.631 0.945
0.631 0.369 0.055
0.631 0.369 0.445
0.146 0.854 0.250
0.854 0.146 0.750
0.000 0.000 0.000
0.000 0.000 0.500
0.277 0.723 0.128
0.277 0.723 0.372
0.464 0.536 0.750
0.536 0.464 0.250
0.723 0.277 0.628
0.723 0.277 0.872
```


# 5
# Zr4Ru2N
Theoretical powder diffractogram, a wavelength of 1.5418 Å. Input: the PBE geometry in Alexandria.
Peak positions follow from Bragg's law for the DFT cell and can differ from measured ones.

Top 10 peaks for 10 to 90 degrees two-theta, sorted by position:
2θ = 31.36°, intensity 6.7
2θ = 35.36°, intensity 30.6
2θ = 37.58°, intensity 100.0
2θ = 41.06°, intensity 24.9
2θ = 43.67°, intensity 9.9
2θ = 63.48°, intensity 32.0
2θ = 64.94°, intensity 8.0
2θ = 69.25°, intensity 6.5
2θ = 76.17°, intensity 19.0
2θ = 80.22°, intensity 5.6

Structural model:
```
Zr4Ru2N
1.0
0.000 6.218 6.218
6.218 0.000 6.218
6.218 6.218 0.000
Zr Ru N
16 8 4
direct
0.000 0.000 0.000
0.000 0.000 0.500
0.000 0.500 0.000
0.191 0.191 0.559
0.191 0.559 0.191
0.191 0.559 0.559
0.441 0.441 0.809
0.441 0.809 0.441
0.441 0.809 0.809
0.500 0.000 0.000
0.559 0.191 0.191
0.559 0.191 0.559
0.559 0.559 0.191
0.809 0.441 0.441
0.809 0.441 0.809
0.809 0.809 0.441
0.136 0.788 0.788
0.212 0.212 0.212
0.212 0.212 0.864
0.212 0.864 0.212
0.788 0.136 0.788
0.788 0.788 0.136
0.788 0.788 0.788
0.864 0.212 0.212
0.000 0.500 0.500
0.500 0.000 0.500
0.500 0.500 0.000
0.500 0.500 0.500
```


# 6
# ZrRuN
Theoretical powder diffractogram, a wavelength of 1.5418 Å. Input: the PBE geometry in Alexandria.
Peak positions follow from Bragg's law for the DFT cell and can differ from measured ones.

Top 10 peaks for 10 to 90 degrees two-theta, sorted by position:
2θ = 35.84°, intensity 100.0
2θ = 39.87°, intensity 47.7
2θ = 44.97°, intensity 17.3
2θ = 50.49°, intensity 2.0
2θ = 57.66°, intensity 14.9
2θ = 61.64°, intensity 25.0
2θ = 69.79°, intensity 26.2
2θ = 75.97°, intensity 12.7
2θ = 76.96°, intensity 10.6
2θ = 86.00°, intensity 4.4

Structural model:
```
ZrRuN
1.0
4.520 0.000 0.000
0.000 4.032 0.000
0.000 0.000 4.523
Zr Ru N
2 2 2
direct
0.250 0.000 0.248
0.750 0.000 0.752
0.250 0.500 0.721
0.750 0.500 0.279
0.250 0.000 0.758
0.750 0.000 0.242
```


# 7
# ZrRuN
Theoretical powder diffractogram, a wavelength of 1.5418 Å. Input: the PBE geometry in Alexandria.
Peak positions follow from Bragg's law for the DFT cell and can differ from measured ones.

Top 10 peaks for 10 to 90 degrees two-theta, sorted by position:
2θ = 35.90°, intensity 100.0
2θ = 40.03°, intensity 48.9
2θ = 44.87°, intensity 16.1
2θ = 57.82°, intensity 7.2
2θ = 57.97°, intensity 8.2
2θ = 61.67°, intensity 23.1
2θ = 69.98°, intensity 12.2
2θ = 70.08°, intensity 13.7
2θ = 76.16°, intensity 6.3
2θ = 76.85°, intensity 8.3

Structural model:
```
ZrRuN
1.0
3.189 -4.040 0.000
3.189 4.040 0.000
0.000 0.000 3.182
Zr Ru N
2 2 2
direct
0.230 0.770 0.000
0.770 0.230 0.000
0.271 0.271 0.500
0.729 0.729 0.500
0.000 0.500 0.500
0.500 0.000 0.500
```


# 8
# S7N
Theoretical powder diffractogram, a wavelength of 1.5418 Å. Input: the PBE geometry in Alexandria.
Peak positions follow from Bragg's law for the DFT cell and can differ from measured ones.

Top 10 peaks for 10 to 90 degrees two-theta, sorted by position:
2θ = 12.90°, intensity 13.6
2θ = 14.40°, intensity 29.6
2θ = 15.79°, intensity 44.4
2θ = 21.18°, intensity 100.0
2θ = 23.60°, intensity 16.0
2θ = 24.24°, intensity 46.1
2θ = 24.44°, intensity 22.1
2θ = 25.96°, intensity 25.0
2θ = 29.78°, intensity 42.3
2θ = 42.37°, intensity 13.4

Structural model:
```
S7N
1.0
8.810 0.000 0.000
0.000 13.728 0.000
0.000 0.000 8.592
S N
28 4
direct
0.058 0.129 0.157
0.058 0.371 0.157
0.133 0.250 0.274
0.140 0.140 0.772
0.140 0.360 0.772
0.221 0.097 0.990
0.221 0.403 0.990
0.279 0.597 0.490
0.279 0.903 0.490
0.360 0.640 0.272
0.360 0.860 0.272
0.367 0.750 0.774
0.442 0.629 0.657
0.442 0.871 0.657
0.558 0.129 0.343
0.558 0.371 0.343
0.633 0.250 0.226
0.640 0.140 0.728
0.640 0.360 0.728
0.721 0.097 0.510
0.721 0.403 0.510
0.779 0.597 0.010
0.779 0.903 0.010
0.860 0.640 0.228
0.860 0.860 0.228
0.867 0.750 0.726
0.942 0.629 0.843
0.942 0.871 0.843
0.172 0.250 0.718
0.328 0.750 0.218
0.672 0.250 0.782
0.828 0.750 0.282
```


# 9
# S4N
Theoretical powder diffractogram, a wavelength of 1.5418 Å. Input: the PBE geometry in Alexandria.
Peak positions follow from Bragg's law for the DFT cell and can differ from measured ones.

Top 9 peaks for 10 to 90 degrees two-theta, sorted by position:
2θ = 21.33°, intensity 5.6
2θ = 30.35°, intensity 3.9
2θ = 37.40°, intensity 100.0
2θ = 43.45°, intensity 69.3
2θ = 48.90°, intensity 1.4
2θ = 53.92°, intensity 0.9
2θ = 63.14°, intensity 40.6
2θ = 75.74°, intensity 35.0
2θ = 79.76°, intensity 13.9

Structural model:
```
S4N
1.0
4.165 0.000 0.000
0.000 4.165 0.000
0.000 0.000 4.165
S N
4 1
direct
0.000 0.000 0.000
0.000 0.500 0.500
0.500 0.000 0.500
0.500 0.500 0.000
0.500 0.500 0.500
```